Theoretical powder XRD pattern
Compound: Tb3Pm8Ho
Radiation: a wavelength of 1.5418 Å
Structure: a cell relaxed with GGA-PBE
Peak positions follow from Bragg's law for the DFT cell and can differ from measured ones.

Largest 6 diffraction maxima, by angle, 15° ≤ 2θ ≤ 90°:
2θ = 30.20°, I = 100.0
2θ = 30.31°, I = 99.1
2θ = 35.03°, I = 67.5
2θ = 35.18°, I = 33.4
2θ = 50.50°, I = 59.9
2θ = 60.02°, I = 42.8

Crystal structure
Cell lengths 6.2625, 6.2625, 10.8400 Å; angles 90.00, 90.00, 109.10 degrees
Positions (direct):
Tb 0.0000 0.0000 0.0000
Tb 0.0000 0.5000 0.5000
Tb 0.5000 0.0000 0.5000
Pm 0.0000 0.0000 0.3335
Pm 0.0000 0.0000 0.6665
Pm 0.0000 0.5000 0.1660
Pm 0.0000 0.5000 0.8340
Pm 0.5000 0.0000 0.1660
Pm 0.5000 0.0000 0.8340
Pm 0.5000 0.5000 0.3333
Pm 0.5000 0.5000 0.6667
Ho 0.5000 0.5000 0.0000

Theoretical powder XRD pattern
Compound: CsLaHRhS
Radiation: a wavelength of 1.5418 Å
Structure: a cell relaxed with GGA-PBE
Peak positions follow from Bragg's law for the DFT cell and can differ from measured ones.

Largest 6 diffraction maxima, by angle, 15° ≤ 2θ ≤ 90°:
2θ = 21.84°, I = 66.8
2θ = 23.18°, I = 53.7
2θ = 24.04°, I = 90.0
2θ = 27.21°, I = 89.8
2θ = 34.53°, I = 57.4
2θ = 40.20°, I = 100.0

Crystal structure
Cell lengths 4.4838, 4.4851, 8.5314 Å; angles 104.99, 90.14, 119.93 degrees
Positions (direct):
Cs 0.0000 0.0000 0.0000
La 0.1725 0.3498 0.5179
H 0.3957 0.7887 0.1869
Rh 0.4632 0.9266 0.3894
S 0.5656 0.1356 0.6966

Theoretical powder XRD pattern
Compound: KAc4Pt3O12
Radiation: a wavelength of 1.5418 Å
Structure: a cell relaxed with GGA-PBE
Peak positions follow from Bragg's law for the DFT cell and can differ from measured ones.

Largest 6 diffraction maxima, by angle, 15° ≤ 2θ ≤ 90°:
2θ = 28.48°, I = 100.0
2θ = 40.72°, I = 20.1
2θ = 50.44°, I = 47.6
2θ = 58.95°, I = 13.3
2θ = 66.75°, I = 19.9
2θ = 81.22°, I = 22.3

Crystal structure
Cell lengths 7.6755, 7.6755, 7.6755 Å; angles 109.47, 109.47, 109.47 degrees
Positions (direct):
K 0.0000 0.0000 0.0000
Ac 0.0000 0.0000 0.5000
Ac 0.0000 0.5000 0.0000
Ac 0.5000 0.0000 0.0000
Ac 0.5000 0.5000 0.5000
Pt 0.0000 0.5000 0.5000
Pt 0.5000 0.0000 0.5000
Pt 0.5000 0.5000 0.0000
O 0.1501 0.3347 0.4848
O 0.1501 0.6653 0.8154
O 0.1846 0.8499 0.3347
O 0.3347 0.1846 0.8499
O 0.3347 0.4848 0.1501
O 0.4848 0.1501 0.3347
O 0.5152 0.8499 0.6653
O 0.6653 0.5152 0.8499
O 0.6653 0.8154 0.1501
O 0.8154 0.1501 0.6653
O 0.8499 0.3347 0.1846
O 0.8499 0.6653 0.5152

Theoretical powder XRD pattern
Compound: SrCd4Au
Radiation: a wavelength of 1.5418 Å
Structure: a cell relaxed with GGA-PBE
Peak positions follow from Bragg's law for the DFT cell and can differ from measured ones.

Largest 6 diffraction maxima, by angle, 15° ≤ 2θ ≤ 90°:
2θ = 30.53°, I = 100.0
2θ = 34.63°, I = 81.6
2θ = 38.98°, I = 57.2
2θ = 39.47°, I = 50.2
2θ = 40.15°, I = 58.2
2θ = 56.68°, I = 37.3

Crystal structure
Cell lengths 8.8859, 8.8859, 7.8269 Å; angles 90.00, 90.00, 150.23 degrees
Positions (direct):
Sr 0.1252 0.8748 0.7500
Sr 0.8748 0.1252 0.2500
Cd 0.0706 0.9294 0.2500
Cd 0.3235 0.6765 0.5595
Cd 0.3235 0.6765 0.9405
Cd 0.5000 0.5000 0.0000
Cd 0.5000 0.5000 0.5000
Cd 0.6765 0.3235 0.0595
Cd 0.6765 0.3235 0.4405
Cd 0.9294 0.0706 0.7500
Au 0.2384 0.7616 0.2500
Au 0.7616 0.2384 0.7500

Theoretical powder XRD pattern
Compound: NaTmCl4
Radiation: a wavelength of 1.5418 Å
Structure: a cell relaxed with GGA-PBE
Peak positions follow from Bragg's law for the DFT cell and can differ from measured ones.

Largest 6 diffraction maxima, by angle, 15° ≤ 2θ ≤ 90°:
2θ = 17.38°, I = 100.0
2θ = 17.97°, I = 84.6
2θ = 21.85°, I = 82.0
2θ = 22.68°, I = 69.5
2θ = 30.34°, I = 97.1
2θ = 37.61°, I = 63.0

Crystal structure
Cell lengths 6.4198, 7.7331, 6.7967 Å; angles 90.00, 92.90, 90.00 degrees
Positions (direct):
Na 0.0000 0.1449 0.2500
Na 0.0000 0.8551 0.7500
Tm 0.5000 0.3480 0.7500
Tm 0.5000 0.6520 0.2500
Cl 0.2457 0.1295 0.5987
Cl 0.2457 0.8705 0.0987
Cl 0.2800 0.3951 0.0639
Cl 0.2800 0.6049 0.5639
Cl 0.7200 0.3951 0.4361
Cl 0.7200 0.6049 0.9361
Cl 0.7543 0.1295 0.9013
Cl 0.7543 0.8705 0.4013

Theoretical powder XRD pattern
Compound: Sm3HoRu2
Radiation: a wavelength of 1.5418 Å
Structure: a cell relaxed with GGA-PBE
Peak positions follow from Bragg's law for the DFT cell and can differ from measured ones.

Largest 6 diffraction maxima, by angle, 15° ≤ 2θ ≤ 90°:
2θ = 32.20°, I = 76.2
2θ = 32.31°, I = 73.1
2θ = 33.46°, I = 37.4
2θ = 38.37°, I = 100.0
2θ = 52.08°, I = 38.9
2θ = 56.93°, I = 28.8

Crystal structure
Cell lengths 6.8829, 6.8829, 6.4142 Å; angles 90.00, 90.00, 90.28 degrees
Positions (direct):
Sm 0.0666 0.5682 0.2500
Sm 0.0688 0.9312 0.7500
Sm 0.4318 0.9334 0.2500
Sm 0.5682 0.0666 0.7500
Sm 0.9312 0.0688 0.2500
Sm 0.9334 0.4318 0.7500
Ho 0.4341 0.5659 0.7500
Ho 0.5659 0.4341 0.2500
Ru 0.2552 0.2552 0.0000
Ru 0.2552 0.2552 0.5000
Ru 0.7448 0.7448 0.0000
Ru 0.7448 0.7448 0.5000

What did the third record say?
Theoretical powder XRD pattern
Compound: KAc4Pt3O12
Radiation: a wavelength of 1.5418 Å
Structure: a cell relaxed with GGA-PBE
Peak positions follow from Bragg's law for the DFT cell and can differ from measured ones.

Largest 6 diffraction maxima, by angle, 15° ≤ 2θ ≤ 90°:
2θ = 28.48°, I = 100.0
2θ = 40.72°, I = 20.1
2θ = 50.44°, I = 47.6
2θ = 58.95°, I = 13.3
2θ = 66.75°, I = 19.9
2θ = 81.22°, I = 22.3

Crystal structure
Cell lengths 7.6755, 7.6755, 7.6755 Å; angles 109.47, 109.47, 109.47 degrees
Positions (direct):
K 0.0000 0.0000 0.0000
Ac 0.0000 0.0000 0.5000
Ac 0.0000 0.5000 0.0000
Ac 0.5000 0.0000 0.0000
Ac 0.5000 0.5000 0.5000
Pt 0.0000 0.5000 0.5000
Pt 0.5000 0.0000 0.5000
Pt 0.5000 0.5000 0.0000
O 0.1501 0.3347 0.4848
O 0.1501 0.6653 0.8154
O 0.1846 0.8499 0.3347
O 0.3347 0.1846 0.8499
O 0.3347 0.4848 0.1501
O 0.4848 0.1501 0.3347
O 0.5152 0.8499 0.6653
O 0.6653 0.5152 0.8499
O 0.6653 0.8154 0.1501
O 0.8154 0.1501 0.6653
O 0.8499 0.3347 0.1846
O 0.8499 0.6653 0.5152